# 1
The following is a computed powder diffractogram of NdCu4P2. It was derived from a cell relaxed with GGA-PBE, using Cu Kα.
Kinematic intensities with the Lorentz-polarization factor, no thermal factor.

Most intense lines, 2θ from 5° to 70°, sorted by position:
2theta  I_rel  index
24.36  341  0 4 0
29.43  232  0 3 1
33.75  256  2 3 1
34.70  689  1 4 1
34.92  407  4 2 0
35.92  868  3 2 1
38.55  1000  3 3 1
42.05  303  2 5 1
44.10  280  1 7 0
46.89  591  0 0 2

Crystal structure
```
data_NdCu4P2
_cell_length_a 10.9765
_cell_length_b 14.6322
_cell_length_c 3.8751
_cell_angle_alpha 90.00
_cell_angle_beta 90.00
_cell_angle_gamma 90.00
_symmetry_space_group_name_H-M 'P n n m'
_symmetry_Int_Tables_number 58
loop_
_symmetry_equiv_pos_as_xyz
'x,y,z'
'-x,-y,-z'
'-x,-y,z'
'x,y,-z'
'x+1/2,-y+1/2,-z+1/2'
'-x+1/2,y+1/2,z+1/2'
'-x+1/2,y+1/2,-z+1/2'
'x+1/2,-y+1/2,z+1/2'
loop_
_atom_site_label
_atom_site_type_symbol
_atom_site_fract_x
_atom_site_fract_y
_atom_site_fract_z
_atom_site_occupancy
Nd1 Nd 0.0000 0.0000 0.0000 1
Nd2 Nd 0.1228 0.2734 0.0000 1
Cu1 Cu 0.0683 0.5640 0.0000 1
Cu2 Cu 0.0744 0.8320 0.5000 1
Cu3 Cu 0.0999 0.4471 0.5000 1
Cu4 Cu 0.1711 0.7157 0.0000 1
Cu5 Cu 0.2354 0.9647 0.5000 1
Cu6 Cu 0.2427 0.5892 0.5000 1
P1 P 0.0583 0.6652 0.5000 1
P2 P 0.1340 0.1147 0.5000 1
P3 P 0.2068 0.8714 0.0000 1
```


# 2
The following is a computed powder diffractogram of Na2Li2ZnTeO6. It was derived from a cell relaxed with GGA-PBE, using Cu Kα.
Kinematic intensities with the Lorentz-polarization factor, no thermal factor.

Most intense lines, 2θ from 5° to 70°, sorted by position:
2theta  I_rel  index
17.83  1000  0 0 1
20.18  485  1 1 0
21.98  209  1 1 -1
26.28  235  0 2 1
34.11  349  1 3 0
35.25  244  1 3 -1
40.14  370  2 0 -2
41.99  650  1 3 1
59.37  198  3 3 -1
59.61  197  1 3 -3

Crystal structure
```
data_Na2Li2ZnTeO6
_cell_length_a 5.4136
_cell_length_b 9.2719
_cell_length_c 5.3880
_cell_angle_alpha 90.00
_cell_angle_beta 112.58
_cell_angle_gamma 90.00
_symmetry_space_group_name_H-M 'C 1 2 1'
_symmetry_Int_Tables_number 5
loop_
_symmetry_equiv_pos_as_xyz
'x,y,z'
'-x,y,-z'
'x+1/2,y+1/2,z'
'-x+1/2,y+1/2,-z'
loop_
_atom_site_label
_atom_site_type_symbol
_atom_site_fract_x
_atom_site_fract_y
_atom_site_fract_z
_atom_site_occupancy
Na1 Na 0.0000 0.0000 0.0000 1
Na2 Na 0.0000 0.4884 0.5000 1
Li1 Li 0.0000 0.3264 0.0000 1
Li2 Li 0.0000 0.6633 0.0000 1
Zn1 Zn 0.0000 0.1553 0.5000 1
Te1 Te 0.0000 0.8199 0.5000 1
O1 O 0.2167 0.8060 0.2810 1
O2 O 0.2235 0.9746 0.7268 1
O3 O 0.2445 0.6808 0.7423 1
```